Starting from the PBE geometry in Alexandria, the powder diffraction line list of Ho8Er4Tm3 was simulated for Cu Kα (weighted mean of Kα1 and Kα2).
Neutral-atom scattering factors, no anomalous dispersion.

Atomic structure:
abc: 6.8324 6.8324 34.7941
angles: 90.00 90.00 120.00
Space group R-3m (No. 166, hexagonal axes)
Unique sites:
Ho: 0.0000 0.0000 0.2447
Ho: 0.0018 0.5009 0.7506
Er: 0.0000 0.0000 0.0000
Er: 0.0000 0.0000 0.3362
Er: 0.0000 0.0000 0.5000
Tm: 0.0000 0.5000 0.5000

Largest 10 diffraction maxima, in order of rising 2θ, 2θ = 10–90°:
- 27.21 deg, rel. 18, hkl 1 1 3
- 30.35 deg, rel. 28, hkl 0 2 1
- 30.84 deg, rel. 57, hkl 0 0 12
- 31.95 deg, rel. 100, hkl 0 2 4
- 36.74 deg, rel. 73, hkl 2 0 8
- 52.21 deg, rel. 23, hkl 0 2 16
- 53.66 deg, rel. 37, hkl 2 2 0
- 61.87 deg, rel. 16, hkl 2 0 20
- 63.18 deg, rel. 45, hkl 2 2 12
- 88.45 deg, rel. 17, hkl 2 2 24